For BaNaHg2Au, a crystal structure in Alexandria, relaxed with GGA-PBE gives the computed X-ray powder pattern in this record (Cu Kα).
Peak positions follow from Bragg's law for the DFT cell and can differ from measured ones.

Cell and atoms:
a = 4.4142 Å, b = 4.6380 Å, c = 14.3824 Å
α = 90.00°, β = 90.00°, γ = 90.00°
Positions (direct):
Ba (0.0000, 0.0000, 0.0000)
Ba (0.5000, 0.5000, 0.5000)
Na (0.0000, 0.5000, 0.7665)
Na (0.5000, 0.0000, 0.2665)
Hg (0.0000, 0.0000, 0.6220)
Hg (0.0000, 0.5000, 0.2787)
Hg (0.5000, 0.0000, 0.7787)
Hg (0.5000, 0.5000, 0.1220)
Au (0.0000, 0.0000, 0.4142)
Au (0.5000, 0.5000, 0.9142)

Main lines, most intense first (10 to 90 degrees two-theta):
- 30.60 deg, I 100
- 37.65 deg, I 58
- 36.77 deg, I 57
- 27.47 deg, I 46
- 20.12 deg, I 43
- 21.05 deg, I 38
- 38.83 deg, I 36
- 56.15 deg, I 34
- 40.89 deg, I 32
- 37.31 deg, I 29



For HoSi3TcNi, a crystal structure in Alexandria, relaxed with GGA-PBE gives the computed X-ray powder pattern in this record (Cu Kα).
Peak positions follow from Bragg's law for the DFT cell and can differ from measured ones.

Cell and atoms:
a = 6.6177 Å, b = 6.6177 Å, c = 5.3907 Å
α = 90.00°, β = 90.00°, γ = 112.13°
Positions (direct):
Ho (0.2272, 0.7728, 0.7500)
Ho (0.7728, 0.2272, 0.2500)
Si (0.2541, 0.2541, 0.0000)
Si (0.2541, 0.2541, 0.5000)
Si (0.2738, 0.7262, 0.2500)
Si (0.7262, 0.2738, 0.7500)
Si (0.7459, 0.7459, 0.0000)
Si (0.7459, 0.7459, 0.5000)
Tc (0.0689, 0.9311, 0.2500)
Tc (0.9311, 0.0689, 0.7500)
Ni (0.4649, 0.5351, 0.2500)
Ni (0.5351, 0.4649, 0.7500)

Main lines, most intense first (10 to 90 degrees two-theta):
- 31.94 deg, I 100
- 24.09 deg, I 69
- 41.47 deg, I 62
- 47.59 deg, I 33
- 33.24 deg, I 30
- 32.62 deg, I 21
- 21.96 deg, I 20
- 53.73 deg, I 20
- 49.34 deg, I 18
- 58.58 deg, I 17



For AsSCl3F6, a crystal structure in Alexandria, relaxed with GGA-PBE gives the computed X-ray powder pattern in this record (Cu Kα).
Peak positions follow from Bragg's law for the DFT cell and can differ from measured ones.

Cell and atoms:
a = 7.9911 Å, b = 9.0481 Å, c = 12.0488 Å
α = 90.00°, β = 90.00°, γ = 90.00°
Positions (direct):
As (0.2027, 0.0399, 0.3078)
As (0.2973, 0.9601, 0.8078)
As (0.7027, 0.4601, 0.6922)
As (0.7973, 0.5399, 0.1922)
S (0.1585, 0.4727, 0.4805)
S (0.3415, 0.5273, 0.9805)
S (0.6585, 0.0273, 0.5195)
S (0.8415, 0.9727, 0.0195)
Cl (0.1401, 0.5051, 0.8839)
Cl (0.1571, 0.6620, 0.5645)
Cl (0.2221, 0.3244, 0.5942)
Cl (0.2779, 0.6756, 0.0942)
Cl (0.3429, 0.3380, 0.0645)
Cl (0.3599, 0.4949, 0.3839)
Cl (0.6401, 0.9949, 0.1161)
Cl (0.6571, 0.8380, 0.4355)
Cl (0.7221, 0.1756, 0.4058)
Cl (0.7779, 0.8244, 0.9058)
Cl (0.8429, 0.1620, 0.9355)
Cl (0.8599, 0.0051, 0.6161)
F (0.0412, 0.9506, 0.3813)
F (0.0808, 0.0428, 0.1850)
F (0.1207, 0.2163, 0.3446)
F (0.1303, 0.8710, 0.7339)
F (0.1707, 0.9573, 0.9295)
F (0.2101, 0.1339, 0.7702)
F (0.2899, 0.8661, 0.2702)
F (0.3293, 0.0427, 0.4295)
F (0.3697, 0.1290, 0.2339)
F (0.3793, 0.7837, 0.8446)
F (0.4192, 0.9572, 0.6850)
F (0.4588, 0.0494, 0.8813)
F (0.5412, 0.5494, 0.6187)
F (0.5808, 0.4572, 0.8150)
F (0.6207, 0.2837, 0.6554)
F (0.6303, 0.6290, 0.2661)
F (0.6707, 0.5427, 0.0705)
F (0.7101, 0.3661, 0.2298)
F (0.7899, 0.6339, 0.7298)
F (0.8293, 0.4573, 0.5705)
F (0.8697, 0.3710, 0.7661)
F (0.8793, 0.7163, 0.1554)
F (0.9192, 0.5428, 0.3150)
F (0.9588, 0.4506, 0.1187)

Main lines, most intense first (10 to 90 degrees two-theta):
- 20.92 deg, I 100
- 27.06 deg, I 36
- 19.62 deg, I 30
- 22.25 deg, I 24
- 25.47 deg, I 20
- 17.69 deg, I 16
- 18.44 deg, I 12
- 31.74 deg, I 12
- 14.77 deg, I 11
- 26.73 deg, I 11



For SmY2NbN4, a crystal structure in Alexandria, relaxed with GGA-PBE gives the computed X-ray powder pattern in this record (Cu Kα).
Peak positions follow from Bragg's law for the DFT cell and can differ from measured ones.

Cell and atoms:
a = 6.1885 Å, b = 6.1885 Å, c = 12.1555 Å
α = 90.00°, β = 90.00°, γ = 148.07°
Positions (direct):
Sm (0.1052, 0.8948, 0.7500)
Sm (0.8948, 0.1052, 0.2500)
Y (0.3700, 0.6300, 0.5345)
Y (0.3700, 0.6300, 0.9655)
Y (0.6300, 0.3700, 0.0345)
Y (0.6300, 0.3700, 0.4655)
Nb (0.1564, 0.8436, 0.2500)
Nb (0.8436, 0.1564, 0.7500)
N (0.0000, 0.0000, 0.0000)
N (0.0000, 0.0000, 0.5000)
N (0.2598, 0.7402, 0.1233)
N (0.2598, 0.7402, 0.3767)
N (0.4536, 0.5464, 0.7500)
N (0.5464, 0.4536, 0.2500)
N (0.7402, 0.2598, 0.6233)
N (0.7402, 0.2598, 0.8767)

Main lines, most intense first (10 to 90 degrees two-theta):
- 31.02 deg, I 100
- 37.84 deg, I 72
- 29.39 deg, I 52
- 30.04 deg, I 41
- 42.53 deg, I 29
- 35.53 deg, I 28
- 26.62 deg, I 24
- 62.95 deg, I 22
- 49.05 deg, I 21
- 53.86 deg, I 16



For Ac3DyY8, a crystal structure in Alexandria, relaxed with GGA-PBE gives the computed X-ray powder pattern in this record (Cu Kα).
Peak positions follow from Bragg's law for the DFT cell and can differ from measured ones.

Cell and atoms:
a = 8.9413 Å, b = 8.9413 Å, c = 8.9413 Å
α = 136.85°, β = 98.41°, γ = 97.13°
Positions (direct):
Ac (0.0000, 0.0000, 0.0000)
Ac (0.2556, 0.5000, 0.7556)
Ac (0.7444, 0.5000, 0.2444)
Dy (0.5000, 0.0000, 0.5000)
Y (0.0793, 0.8276, 0.2517)
Y (0.2618, 0.0152, 0.7535)
Y (0.2618, 0.5083, 0.2465)
Y (0.4241, 0.1724, 0.2517)
Y (0.5759, 0.8276, 0.7483)
Y (0.7382, 0.4917, 0.7535)
Y (0.7382, 0.9848, 0.2465)
Y (0.9207, 0.1724, 0.7483)

Main lines, most intense first (10 to 90 degrees two-theta):
- 30.56 deg, I 100
- 21.69 deg, I 48
- 31.16 deg, I 37
- 50.11 deg, I 18
- 44.21 deg, I 17
- 43.52 deg, I 17
- 63.57 deg, I 14
- 30.21 deg, I 14
- 54.36 deg, I 14
- 27.12 deg, I 11



For Sr2Ni2Ir, a crystal structure in Alexandria, relaxed with GGA-PBE gives the computed X-ray powder pattern in this record (Cu Kα).
Peak positions follow from Bragg's law for the DFT cell and can differ from measured ones.

Cell and atoms:
a = 4.3559 Å, b = 5.1796 Å, c = 9.4409 Å
α = 90.00°, β = 90.00°, γ = 90.00°
Positions (direct):
Sr (0.0000, 0.0000, 0.1941)
Sr (0.0000, 0.0000, 0.8059)
Sr (0.5000, 0.5000, 0.3059)
Sr (0.5000, 0.5000, 0.6941)
Ni (0.0000, 0.2374, 0.5000)
Ni (0.0000, 0.7626, 0.5000)
Ni (0.5000, 0.2626, 0.0000)
Ni (0.5000, 0.7374, 0.0000)
Ir (0.0000, 0.5000, 0.0000)
Ir (0.5000, 0.0000, 0.5000)

Main lines, most intense first (10 to 90 degrees two-theta):
- 32.89 deg, I 100
- 41.69 deg, I 76
- 33.31 deg, I 61
- 19.55 deg, I 35
- 18.80 deg, I 35
- 64.74 deg, I 34
- 41.46 deg, I 33
- 54.19 deg, I 31
- 60.97 deg, I 22
- 38.13 deg, I 21



For Dy2Ho2Er, a crystal structure in Alexandria, relaxed with GGA-PBE gives the computed X-ray powder pattern in this record (Cu Kα).
Peak positions follow from Bragg's law for the DFT cell and can differ from measured ones.

Cell and atoms:
a = 3.4868 Å, b = 5.6537 Å, c = 16.1170 Å
α = 90.00°, β = 90.00°, γ = 90.00°
Positions (direct):
Dy (0.0000, 0.0000, 0.0000)
Dy (0.0000, 0.5000, 0.5000)
Dy (0.5000, 0.0000, 0.1906)
Dy (0.5000, 0.5000, 0.6906)
Ho (0.0000, 0.0000, 0.3817)
Ho (0.0000, 0.5000, 0.8817)
Ho (0.5000, 0.0000, 0.8095)
Ho (0.5000, 0.5000, 0.3095)
Er (0.0000, 0.0000, 0.6189)
Er (0.0000, 0.5000, 0.1189)

Main lines, most intense first (10 to 90 degrees two-theta):
- 34.53 deg, I 100
- 31.96 deg, I 79
- 31.65 deg, I 49
- 62.58 deg, I 40
- 27.88 deg, I 37
- 52.47 deg, I 34
- 42.68 deg, I 23
- 62.78 deg, I 23
- 58.24 deg, I 22
- 89.18 deg, I 16



For Pr6YHo, a crystal structure in Alexandria, relaxed with GGA-PBE gives the computed X-ray powder pattern in this record (Cu Kα).
Peak positions follow from Bragg's law for the DFT cell and can differ from measured ones.

Cell and atoms:
a = 5.1934 Å, b = 5.1934 Å, c = 10.3868 Å
α = 90.00°, β = 90.00°, γ = 90.00°
Positions (direct):
Pr (0.0000, 0.0000, 0.0000)
Pr (0.0000, 0.0000, 0.5000)
Pr (0.0000, 0.5000, 0.2490)
Pr (0.0000, 0.5000, 0.7510)
Pr (0.5000, 0.0000, 0.2490)
Pr (0.5000, 0.0000, 0.7510)
Y (0.5000, 0.5000, 0.5000)
Ho (0.5000, 0.5000, 0.0000)

Main lines, most intense first (10 to 90 degrees two-theta):
- 29.80 deg, I 100
- 34.54 deg, I 51
- 58.99 deg, I 43
- 49.65 deg, I 36
- 80.64 deg, I 17
- 83.19 deg, I 16
- 61.89 deg, I 12
- 72.85 deg, I 6
- 19.11 deg, I 1
- 25.73 deg, I 1



For TbPrEr4Tm2, a crystal structure in Alexandria, relaxed with GGA-PBE gives the computed X-ray powder pattern in this record (Cu Kα).
Peak positions follow from Bragg's law for the DFT cell and can differ from measured ones.

Cell and atoms:
a = 9.4522 Å, b = 9.4522 Å, c = 6.7496 Å
α = 110.92°, β = 110.92°, γ = 88.75°
Positions (direct):
Tb (0.0000, 0.0000, 0.0000)
Tb (0.0000, 0.0000, 0.5000)
Pr (0.0000, 0.5000, 0.0000)
Pr (0.5000, 0.0000, 0.5000)
Er (0.2493, 0.2551, 0.5030)
Er (0.2524, 0.7477, 0.5023)
Er (0.2523, 0.7476, 0.9977)
Er (0.2551, 0.2493, 0.0030)
Er (0.7449, 0.7507, 0.9970)
Er (0.7477, 0.2524, 0.0023)
Er (0.7476, 0.2523, 0.4977)
Er (0.7507, 0.7449, 0.4970)
Tm (0.0000, 0.5000, 0.5000)
Tm (0.5000, 0.0000, 0.0000)
Tm (0.5000, 0.5000, 0.0000)
Tm (0.5000, 0.5000, 0.5000)

Main lines, most intense first (10 to 90 degrees two-theta):
- 30.57 deg, I 100
- 41.22 deg, I 89
- 26.98 deg, I 46
- 61.69 deg, I 27
- 64.80 deg, I 23
- 54.33 deg, I 20
- 70.41 deg, I 18
- 81.50 deg, I 12
- 89.49 deg, I 10
- 63.66 deg, I 8



For Ba8Zr3Sb4O24, a crystal structure in Alexandria, relaxed with GGA-PBE gives the computed X-ray powder pattern in this record (Cu Kα).
Peak positions follow from Bragg's law for the DFT cell and can differ from measured ones.

Cell and atoms:
a = 10.3169 Å, b = 10.3169 Å, c = 10.3169 Å
α = 132.06°, β = 132.06°, γ = 70.13°
Positions (direct):
Ba (0.1149, 0.1149, 0.4669)
Ba (0.1149, 0.6480, 0.0000)
Ba (0.3520, 0.3520, 0.4669)
Ba (0.3520, 0.8851, 0.0000)
Ba (0.6480, 0.1149, 0.0000)
Ba (0.6480, 0.6480, 0.5331)
Ba (0.8851, 0.3520, 0.0000)
Ba (0.8851, 0.8851, 0.5331)
Zr (0.2500, 0.7500, 0.5000)
Zr (0.5000, 0.5000, 0.0000)
Zr (0.7500, 0.2500, 0.5000)
Sb (0.0000, 0.5000, 0.5000)
Sb (0.2572, 0.2572, 0.0000)
Sb (0.5000, 0.0000, 0.5000)
Sb (0.7428, 0.7428, 0.0000)
O (0.0000, 0.2702, 0.2702)
O (0.0000, 0.7298, 0.7298)
O (0.0101, 0.2562, 0.7539)
O (0.1238, 0.6238, 0.5000)
O (0.1422, 0.1422, 0.0000)
O (0.2474, 0.5000, 0.7474)
O (0.2562, 0.0101, 0.7539)
O (0.2562, 0.5023, 0.2461)
O (0.2702, 0.0000, 0.2702)
O (0.3749, 0.3749, 0.0000)
O (0.3762, 0.8762, 0.5000)
O (0.4977, 0.7438, 0.7539)
O (0.5000, 0.2474, 0.7474)
O (0.5000, 0.7526, 0.2526)
O (0.5023, 0.2562, 0.2461)
O (0.6238, 0.1238, 0.5000)
O (0.6251, 0.6251, 0.0000)
O (0.7298, 0.0000, 0.7298)
O (0.7438, 0.4977, 0.7539)
O (0.7438, 0.9899, 0.2461)
O (0.7526, 0.5000, 0.2526)
O (0.8578, 0.8578, 0.0000)
O (0.8762, 0.3762, 0.5000)
O (0.9899, 0.7438, 0.2461)

Main lines, most intense first (10 to 90 degrees two-theta):
- 30.04 deg, I 100
- 30.16 deg, I 49
- 53.49 deg, I 36
- 43.17 deg, I 30
- 53.28 deg, I 18
- 62.44 deg, I 17
- 42.84 deg, I 15
- 71.11 deg, I 14
- 62.70 deg, I 8
- 86.47 deg, I 8



For Pm12Tm7In, a crystal structure in Alexandria, relaxed with GGA-PBE gives the computed X-ray powder pattern in this record (Cu Kα).
Peak positions follow from Bragg's law for the DFT cell and can differ from measured ones.

Cell and atoms:
a = 9.9622 Å, b = 9.9622 Å, c = 9.9622 Å
α = 109.47°, β = 109.47°, γ = 109.47°
Positions (direct):
Pm (0.0000, 0.2236, 0.7764)
Pm (0.0000, 0.7764, 0.2236)
Pm (0.2236, 0.0000, 0.7764)
Pm (0.2236, 0.2236, 0.4472)
Pm (0.2236, 0.4472, 0.2236)
Pm (0.2236, 0.7764, 0.0000)
Pm (0.4472, 0.2236, 0.2236)
Pm (0.5528, 0.7764, 0.7764)
Pm (0.7764, 0.0000, 0.2236)
Pm (0.7764, 0.2236, 0.0000)
Pm (0.7764, 0.5528, 0.7764)
Pm (0.7764, 0.7764, 0.5528)
Tm (0.0000, 0.0000, 0.5000)
Tm (0.0000, 0.5000, 0.0000)
Tm (0.0000, 0.5000, 0.5000)
Tm (0.5000, 0.0000, 0.0000)
Tm (0.5000, 0.0000, 0.5000)
Tm (0.5000, 0.5000, 0.0000)
Tm (0.5000, 0.5000, 0.5000)
In (0.0000, 0.0000, 0.0000)

Main lines, most intense first (10 to 90 degrees two-theta):
- 31.10 deg, I 100
- 44.56 deg, I 63
- 26.85 deg, I 58
- 21.85 deg, I 30
- 38.33 deg, I 26
- 15.41 deg, I 23
- 55.33 deg, I 19
- 73.66 deg, I 17
- 69.31 deg, I 14
- 63.70 deg, I 13



For BaGaAs2O8, a crystal structure in Alexandria, relaxed with GGA-PBE gives the computed X-ray powder pattern in this record (Cu Kα).
Peak positions follow from Bragg's law for the DFT cell and can differ from measured ones.

Cell and atoms:
a = 8.6086 Å, b = 8.6086 Å, c = 8.6086 Å
α = 33.84°, β = 33.84°, γ = 33.84°
Positions (direct):
Ba (0.0000, 0.0000, 0.0000)
Ga (0.5000, 0.5000, 0.5000)
As (0.2385, 0.2385, 0.2385)
As (0.7615, 0.7615, 0.7615)
O (0.1278, 0.4673, 0.7472)
O (0.2528, 0.5327, 0.8722)
O (0.3088, 0.3088, 0.3088)
O (0.4673, 0.7472, 0.1278)
O (0.5327, 0.8722, 0.2528)
O (0.6912, 0.6912, 0.6912)
O (0.7472, 0.1278, 0.4673)
O (0.8722, 0.2528, 0.5327)

Main lines, most intense first (10 to 90 degrees two-theta):
- 25.21 deg, I 100
- 35.84 deg, I 37
- 36.07 deg, I 25
- 44.33 deg, I 19
- 58.26 deg, I 18
- 58.58 deg, I 15
- 64.41 deg, I 11
- 51.76 deg, I 11
- 64.56 deg, I 10
- 33.15 deg, I 8



Copy entry 2 word for word.
For HoSi3TcNi, a crystal structure in Alexandria, relaxed with GGA-PBE gives the computed X-ray powder pattern in this record (Cu Kα).
Peak positions follow from Bragg's law for the DFT cell and can differ from measured ones.

Cell and atoms:
a = 6.6177 Å, b = 6.6177 Å, c = 5.3907 Å
α = 90.00°, β = 90.00°, γ = 112.13°
Positions (direct):
Ho (0.2272, 0.7728, 0.7500)
Ho (0.7728, 0.2272, 0.2500)
Si (0.2541, 0.2541, 0.0000)
Si (0.2541, 0.2541, 0.5000)
Si (0.2738, 0.7262, 0.2500)
Si (0.7262, 0.2738, 0.7500)
Si (0.7459, 0.7459, 0.0000)
Si (0.7459, 0.7459, 0.5000)
Tc (0.0689, 0.9311, 0.2500)
Tc (0.9311, 0.0689, 0.7500)
Ni (0.4649, 0.5351, 0.2500)
Ni (0.5351, 0.4649, 0.7500)

Main lines, most intense first (10 to 90 degrees two-theta):
- 31.94 deg, I 100
- 24.09 deg, I 69
- 41.47 deg, I 62
- 47.59 deg, I 33
- 33.24 deg, I 30
- 32.62 deg, I 21
- 21.96 deg, I 20
- 53.73 deg, I 20
- 49.34 deg, I 18
- 58.58 deg, I 17